# Li2FeBO4
Simulated powder X-ray diffraction pattern, Cu Kα, 1.54184 Å. Input: a cell relaxed with PBE+U.

The 6 most intense peaks (10 to 80 degrees two-theta), in order of rising 2θ:
16.44 deg, I 100, hkl 2 0 0
23.97 deg, I 39, hkl 0 1 1
24.79 deg, I 94, hkl 2 0 1
35.01 deg, I 77, hkl 2 2 0
37.35 deg, I 53, hkl 0 0 2
60.50 deg, I 37, hkl 6 2 0

Crystal structure
```
Li2FeBO4
1.0
10.784 0.000 0.000
0.000 5.827 0.000
0.000 0.000 4.815
Li Fe B O
8 4 4 16
Direct
0.084 0.003 0.197
0.084 0.497 0.197
0.416 0.503 0.697
0.416 0.997 0.697
0.584 0.003 0.303
0.584 0.497 0.303
0.916 0.503 0.803
0.916 0.997 0.803
0.178 0.250 0.688
0.322 0.750 0.188
0.678 0.250 0.812
0.822 0.750 0.312
0.164 0.750 0.682
0.336 0.250 0.182
0.664 0.750 0.818
0.836 0.250 0.318
0.097 0.537 0.780
0.097 0.963 0.780
0.167 0.750 0.374
0.204 0.250 0.293
0.296 0.750 0.793
0.333 0.250 0.874
0.403 0.037 0.280
0.403 0.463 0.280
0.597 0.537 0.720
0.597 0.963 0.720
0.667 0.750 0.126
0.704 0.250 0.207
0.796 0.750 0.707
0.833 0.250 0.626
0.903 0.037 0.220
0.903 0.463 0.220
```